# KCoC4O4
Simulated powder diffraction line list, λ = 1.5418 Å (Cu Kα). Input: a cell relaxed with PBE+U.
Peak positions follow from Bragg's law for the DFT cell and can differ from measured ones.

Largest 12 diffraction maxima, in order of rising 2θ, 5° ≤ 2θ ≤ 70°:
| 2theta | I/Imax |
| --- | --- |
| 16.97 | 45 |
| 19.66 | 78 |
| 20.75 | 100 |
| 25.12 | 52 |
| 26.09 | 68 |
| 26.66 | 40 |
| 27.76 | 95 |
| 30.49 | 74 |
| 31.35 | 57 |
| 32.49 | 34 |
| 33.10 | 44 |
| 36.25 | 49 |

Atomic structure:
```
KCoC4O4
1.0
10.5974 -2.8264 0.0000
10.5974 2.8264 0.0000
-8.0527 0.0000 11.0784
K Co C O
4 4 16 16
Cartesian
3.2327 0.2988 0.6703
-0.7936 -0.2988 6.2095
13.9357 0.2988 4.8690
9.9093 -0.2988 10.4082
1.9920 1.1499 8.2481
7.1237 1.1499 8.3696
6.0183 -1.1499 2.7088
11.1501 -1.1499 2.8304
1.2763 0.4405 3.7902
3.0164 1.9565 9.3978
6.0993 1.9565 7.2198
-2.7501 -0.4405 9.3294
5.0000 0.0148 3.4776
0.9736 -0.0148 9.0169
3.0524 0.1306 7.3275
7.0787 -0.1306 1.7882
6.0633 0.1306 9.2902
10.0897 -0.1306 3.7510
12.1684 0.0148 2.0616
8.1420 -0.0148 7.6008
15.8921 0.4405 1.7491
7.0427 -1.9565 3.8586
10.1257 -1.9565 1.6806
11.8657 -0.4405 7.2883
5.3818 2.4893 6.4683
3.7338 2.4893 10.1494
-2.3530 0.4442 10.0031
4.3621 0.8775 3.9602
7.7849 0.5977 1.2045
1.6734 -0.4442 4.4639
9.3835 0.5977 4.3347
0.3358 -0.8775 9.4994
12.8062 0.8775 1.5791
3.7586 -0.5977 6.7437
11.4687 0.4442 6.6146
5.3571 -0.5977 9.8739
8.7799 -0.8775 7.1183
15.4950 -0.4442 1.0753
9.4082 -2.4893 0.9290
7.7602 -2.4893 4.6102
```